Simulated X-ray powder pattern of Nb3NiSe6 for Cu Kα (weighted mean of Kα1 and Kα2), from a PBE-relaxed structure.
Lines closer than 0.1° are merged.

Top 12 peaks for 5 to 70 degrees two-theta, sorted by position:
two_theta, I (rel.)
14.24, 20
18.37, 7
30.41, 53
32.93, 36
36.78, 49
41.66, 100
47.31, 7
52.39, 51
59.46, 10
60.43, 14
65.72, 9
69.05, 21

```
data_Nb3NiSe6
_cell_length_a 6.050
_cell_length_b 6.050
_cell_length_c 12.436
_cell_angle_alpha 90.00
_cell_angle_beta 90.00
_cell_angle_gamma 120.00
_symmetry_space_group_name_H-M 'P 1'
_symmetry_Int_Tables_number 1
loop_
_symmetry_equiv_pos_as_xyz
'x,y,z'
loop_
_atom_site_label
_atom_site_type_symbol
_atom_site_fract_x
_atom_site_fract_y
_atom_site_fract_z
_atom_site_occupancy
Nb1 Nb 0.000 0.000 0.000 1
Nb2 Nb 0.000 0.000 0.500 1
Nb3 Nb 0.333 0.667 0.000 1
Nb4 Nb 0.333 0.667 0.500 1
Nb5 Nb 0.667 0.333 0.000 1
Nb6 Nb 0.667 0.333 0.500 1
Ni1 Ni 0.333 0.667 0.250 1
Ni2 Ni 0.667 0.333 0.750 1
Se1 Se 0.004 0.334 0.865 1
Se2 Se 0.004 0.671 0.635 1
Se3 Se 0.329 0.334 0.635 1
Se4 Se 0.329 0.996 0.865 1
Se5 Se 0.334 0.004 0.135 1
Se6 Se 0.334 0.329 0.365 1
Se7 Se 0.666 0.671 0.865 1
Se8 Se 0.666 0.996 0.635 1
Se9 Se 0.671 0.004 0.365 1
Se10 Se 0.671 0.666 0.135 1
Se11 Se 0.996 0.329 0.135 1
Se12 Se 0.996 0.666 0.365 1
```

Simulated X-ray powder pattern of YTm3Ni4 for Cu Kα (weighted mean of Kα1 and Kα2), from a PBE-relaxed structure.
Lines closer than 0.1° are merged.

Top 12 peaks for 5 to 70 degrees two-theta, sorted by position:
two_theta, I (rel.)
27.26, 33
30.18, 85
30.57, 25
33.65, 100
35.87, 89
37.71, 87
42.22, 83
42.38, 45
43.87, 52
55.42, 24
57.91, 45
62.64, 34

```
data_YTm3Ni4
_cell_length_a 5.365
_cell_length_b 4.127
_cell_length_c 6.973
_cell_angle_alpha 90.00
_cell_angle_beta 90.13
_cell_angle_gamma 90.00
_symmetry_space_group_name_H-M 'P 1'
_symmetry_Int_Tables_number 1
loop_
_symmetry_equiv_pos_as_xyz
'x,y,z'
loop_
_atom_site_label
_atom_site_type_symbol
_atom_site_fract_x
_atom_site_fract_y
_atom_site_fract_z
_atom_site_occupancy
Y1 Y 0.000 0.000 0.000 1
Tm1 Tm 0.261 0.500 0.360 1
Tm2 Tm 0.500 0.500 0.859 1
Tm3 Tm 0.761 0.000 0.500 1
Ni1 Ni 0.005 0.500 0.716 1
Ni2 Ni 0.256 0.000 0.641 1
Ni3 Ni 0.505 0.000 0.142 1
Ni4 Ni 0.754 0.500 0.218 1
```

Simulated X-ray powder pattern of InB4W for Cu Kα (weighted mean of Kα1 and Kα2), from a PBE-relaxed structure.
Lines closer than 0.1° are merged.

Top 11 peaks for 5 to 70 degrees two-theta, sorted by position:
two_theta, I (rel.)
9.85, 27
19.77, 68
34.59, 55
36.05, 4
40.16, 100
46.33, 4
50.84, 1
54.03, 34
61.99, 18
62.95, 2
65.75, 17

```
data_InB4W
_cell_length_a 2.994
_cell_length_b 2.994
_cell_length_c 8.981
_cell_angle_alpha 90.00
_cell_angle_beta 90.00
_cell_angle_gamma 120.00
_symmetry_space_group_name_H-M 'P 1'
_symmetry_Int_Tables_number 1
loop_
_symmetry_equiv_pos_as_xyz
'x,y,z'
loop_
_atom_site_label
_atom_site_type_symbol
_atom_site_fract_x
_atom_site_fract_y
_atom_site_fract_z
_atom_site_occupancy
In1 In 0.000 0.000 0.000 1
B1 B 0.333 0.667 0.316 1
B2 B 0.333 0.667 0.684 1
B3 B 0.667 0.333 0.316 1
B4 B 0.667 0.333 0.684 1
W1 W 0.000 0.000 0.500 1
```

Simulated X-ray powder pattern of NdHoSn2Pd4 for Cu Kα (weighted mean of Kα1 and Kα2), from a PBE-relaxed structure.
Lines closer than 0.1° are merged.

Top 12 peaks for 5 to 70 degrees two-theta, sorted by position:
two_theta, I (rel.)
19.58, 5
22.29, 8
29.84, 35
37.33, 96
39.12, 100
46.05, 6
49.96, 9
55.18, 31
57.01, 8
65.22, 8
66.12, 16
69.70, 30

```
data_NdHoSn2Pd4
_cell_length_a 4.605
_cell_length_b 4.605
_cell_length_c 9.068
_cell_angle_alpha 90.00
_cell_angle_beta 90.00
_cell_angle_gamma 120.00
_symmetry_space_group_name_H-M 'P 1'
_symmetry_Int_Tables_number 1
loop_
_symmetry_equiv_pos_as_xyz
'x,y,z'
loop_
_atom_site_label
_atom_site_type_symbol
_atom_site_fract_x
_atom_site_fract_y
_atom_site_fract_z
_atom_site_occupancy
Nd1 Nd 0.000 0.000 0.000 1
Ho1 Ho 0.333 0.667 0.500 1
Sn1 Sn 0.667 0.333 0.256 1
Sn2 Sn 0.667 0.333 0.744 1
Pd1 Pd 0.000 0.000 0.340 1
Pd2 Pd 0.000 0.000 0.660 1
Pd3 Pd 0.333 0.667 0.172 1
Pd4 Pd 0.333 0.667 0.828 1
```

Simulated X-ray powder pattern of Tm2ReB6 for Cu Kα (weighted mean of Kα1 and Kα2), from a PBE-relaxed structure.
Lines closer than 0.1° are merged.

Top 12 peaks for 5 to 70 degrees two-theta, sorted by position:
two_theta, I (rel.)
24.50, 100
30.54, 64
31.26, 20
32.81, 30
33.44, 24
39.53, 76
40.11, 25
41.37, 37
41.89, 30
45.65, 20
50.21, 21
59.92, 20

```
data_Tm2ReB6
_cell_length_a 9.096
_cell_length_b 11.447
_cell_length_c 3.634
_cell_angle_alpha 90.00
_cell_angle_beta 90.00
_cell_angle_gamma 90.00
_symmetry_space_group_name_H-M 'P 1'
_symmetry_Int_Tables_number 1
loop_
_symmetry_equiv_pos_as_xyz
'x,y,z'
loop_
_atom_site_label
_atom_site_type_symbol
_atom_site_fract_x
_atom_site_fract_y
_atom_site_fract_z
_atom_site_occupancy
Tm1 Tm 0.057 0.130 0.000 1
Tm2 Tm 0.177 0.414 0.000 1
Tm3 Tm 0.323 0.914 0.000 1
Tm4 Tm 0.443 0.630 0.000 1
Tm5 Tm 0.557 0.370 0.000 1
Tm6 Tm 0.677 0.086 0.000 1
Tm7 Tm 0.823 0.586 0.000 1
Tm8 Tm 0.943 0.870 0.000 1
Re1 Re 0.139 0.679 0.000 1
Re2 Re 0.361 0.179 0.000 1
Re3 Re 0.639 0.821 0.000 1
Re4 Re 0.861 0.321 0.000 1
B1 B 0.018 0.288 0.500 1
B2 B 0.053 0.566 0.500 1
B3 B 0.100 0.972 0.500 1
B4 B 0.131 0.815 0.500 1
B5 B 0.207 0.235 0.500 1
B6 B 0.250 0.081 0.500 1
B7 B 0.250 0.581 0.500 1
B8 B 0.293 0.735 0.500 1
B9 B 0.369 0.315 0.500 1
B10 B 0.400 0.472 0.500 1
B11 B 0.447 0.066 0.500 1
B12 B 0.482 0.788 0.500 1
B13 B 0.518 0.212 0.500 1
B14 B 0.553 0.934 0.500 1
B15 B 0.600 0.528 0.500 1
B16 B 0.631 0.685 0.500 1
B17 B 0.707 0.265 0.500 1
B18 B 0.750 0.419 0.500 1
B19 B 0.750 0.919 0.500 1
B20 B 0.793 0.765 0.500 1
B21 B 0.869 0.185 0.500 1
B22 B 0.900 0.028 0.500 1
B23 B 0.947 0.434 0.500 1
B24 B 0.982 0.712 0.500 1
```

Simulated X-ray powder pattern of CsK2Rb2ReO6 for Cu Kα (weighted mean of Kα1 and Kα2), from a PBE-relaxed structure.
Lines closer than 0.1° are merged.

Top 12 peaks for 5 to 70 degrees two-theta, sorted by position:
two_theta, I (rel.)
16.14, 37
16.47, 26
18.85, 48
24.59, 20
28.91, 97
29.82, 87
33.85, 100
34.42, 48
47.42, 16
49.05, 60
57.03, 34
58.61, 30

```
data_CsK2Rb2ReO6
_cell_length_a 6.374
_cell_length_b 6.374
_cell_length_c 6.475
_cell_angle_alpha 98.68
_cell_angle_beta 98.68
_cell_angle_gamma 119.05
_symmetry_space_group_name_H-M 'P 1'
_symmetry_Int_Tables_number 1
loop_
_symmetry_equiv_pos_as_xyz
'x,y,z'
loop_
_atom_site_label
_atom_site_type_symbol
_atom_site_fract_x
_atom_site_fract_y
_atom_site_fract_z
_atom_site_occupancy
Cs1 Cs 0.000 0.000 0.000 1
K1 K 0.167 0.833 0.500 1
K2 K 0.833 0.167 0.500 1
Rb1 Rb 0.332 0.668 0.000 1
Rb2 Rb 0.668 0.332 0.000 1
Re1 Re 0.500 0.500 0.500 1
O1 O 0.198 0.447 0.323 1
O2 O 0.315 0.315 0.685 1
O3 O 0.447 0.198 0.323 1
O4 O 0.553 0.802 0.677 1
O5 O 0.685 0.685 0.315 1
O6 O 0.802 0.553 0.677 1
```

Simulated X-ray powder pattern of BaCu2GeS4 for Cu Kα (weighted mean of Kα1 and Kα2), from a PBE-relaxed structure.
Lines closer than 0.1° are merged.

Top 12 peaks for 5 to 70 degrees two-theta, sorted by position:
two_theta, I (rel.)
16.32, 23
23.70, 33
28.19, 100
28.47, 94
32.99, 25
33.13, 40
37.37, 45
40.50, 37
49.71, 35
50.24, 30
50.78, 24
53.45, 25

```
data_BaCu2GeS4
_cell_length_a 6.270
_cell_length_b 6.270
_cell_length_c 15.588
_cell_angle_alpha 90.00
_cell_angle_beta 90.00
_cell_angle_gamma 120.00
_symmetry_space_group_name_H-M 'P 1'
_symmetry_Int_Tables_number 1
loop_
_symmetry_equiv_pos_as_xyz
'x,y,z'
loop_
_atom_site_label
_atom_site_type_symbol
_atom_site_fract_x
_atom_site_fract_y
_atom_site_fract_z
_atom_site_occupancy
Ba1 Ba 0.000 0.567 0.167 1
Ba2 Ba 0.433 0.433 0.500 1
Ba3 Ba 0.567 0.000 0.833 1
Cu1 Cu 0.073 0.650 0.410 1
Cu2 Cu 0.350 0.423 0.744 1
Cu3 Cu 0.423 0.350 0.256 1
Cu4 Cu 0.577 0.927 0.077 1
Cu5 Cu 0.650 0.073 0.590 1
Cu6 Cu 0.927 0.577 0.923 1
Ge1 Ge 0.000 0.712 0.667 1
Ge2 Ge 0.288 0.288 0.000 1
Ge3 Ge 0.712 0.000 0.333 1
S1 S 0.045 0.516 0.781 1
S2 S 0.098 0.334 0.335 1
S3 S 0.236 0.902 0.002 1
S4 S 0.334 0.098 0.665 1
S5 S 0.471 0.955 0.448 1
S6 S 0.484 0.529 0.115 1
S7 S 0.516 0.045 0.219 1
S8 S 0.529 0.484 0.885 1
S9 S 0.666 0.764 0.669 1
S10 S 0.764 0.666 0.331 1
S11 S 0.902 0.236 0.998 1
S12 S 0.955 0.471 0.552 1
```

Simulated X-ray powder pattern of NbAg3Se2S2 for Cu Kα (weighted mean of Kα1 and Kα2), from a PBE-relaxed structure.
Lines closer than 0.1° are merged.

Top 12 peaks for 5 to 70 degrees two-theta, sorted by position:
two_theta, I (rel.)
14.37, 100
24.70, 34
25.34, 33
28.97, 15
32.47, 25
40.63, 17
41.42, 66
42.25, 16
48.49, 10
49.55, 9
53.59, 12
60.03, 15

```
data_NbAg3Se2S2
_cell_length_a 8.556
_cell_length_b 8.883
_cell_length_c 6.168
_cell_angle_alpha 90.00
_cell_angle_beta 90.00
_cell_angle_gamma 90.00
_symmetry_space_group_name_H-M 'P 1'
_symmetry_Int_Tables_number 1
loop_
_symmetry_equiv_pos_as_xyz
'x,y,z'
loop_
_atom_site_label
_atom_site_type_symbol
_atom_site_fract_x
_atom_site_fract_y
_atom_site_fract_z
_atom_site_occupancy
Nb1 Nb 0.000 0.000 0.000 1
Nb2 Nb 0.500 0.500 0.000 1
Ag1 Ag 0.000 0.000 0.498 1
Ag2 Ag 0.250 0.250 0.004 1
Ag3 Ag 0.250 0.750 0.004 1
Ag4 Ag 0.500 0.500 0.498 1
Ag5 Ag 0.750 0.250 0.004 1
Ag6 Ag 0.750 0.750 0.004 1
Se1 Se 0.240 0.000 0.767 1
Se2 Se 0.260 0.500 0.767 1
Se3 Se 0.740 0.500 0.767 1
Se4 Se 0.760 0.000 0.767 1
S1 S 0.000 0.215 0.221 1
S2 S 0.000 0.785 0.221 1
S3 S 0.500 0.285 0.221 1
S4 S 0.500 0.715 0.221 1
```

Simulated X-ray powder pattern of CsEr2Cu3Te4S for Cu Kα (weighted mean of Kα1 and Kα2), from a PBE-relaxed structure.
Lines closer than 0.1° are merged.

Top 12 peaks for 5 to 70 degrees two-theta, sorted by position:
two_theta, I (rel.)
9.93, 28
27.00, 70
27.48, 100
28.83, 42
30.09, 35
33.79, 53
35.61, 30
37.09, 48
41.14, 19
42.32, 50
44.96, 43
46.52, 19

```
data_CsEr2Cu3Te4S
_cell_length_a 8.095
_cell_length_b 8.095
_cell_length_c 17.820
_cell_angle_alpha 90.00
_cell_angle_beta 90.00
_cell_angle_gamma 149.40
_symmetry_space_group_name_H-M 'P 1'
_symmetry_Int_Tables_number 1
loop_
_symmetry_equiv_pos_as_xyz
'x,y,z'
loop_
_atom_site_label
_atom_site_type_symbol
_atom_site_fract_x
_atom_site_fract_y
_atom_site_fract_z
_atom_site_occupancy
Cs1 Cs 0.073 0.927 0.750 1
Cs2 Cs 0.927 0.073 0.250 1
Er1 Er 0.195 0.805 0.102 1
Er2 Er 0.195 0.805 0.398 1
Er3 Er 0.805 0.195 0.602 1
Er4 Er 0.805 0.195 0.898 1
Cu1 Cu 0.334 0.666 0.750 1
Cu2 Cu 0.419 0.581 0.025 1
Cu3 Cu 0.419 0.581 0.475 1
Cu4 Cu 0.581 0.419 0.525 1
Cu5 Cu 0.581 0.419 0.975 1
Cu6 Cu 0.666 0.334 0.250 1
Te1 Te 0.167 0.833 0.568 1
Te2 Te 0.167 0.833 0.932 1
Te3 Te 0.442 0.558 0.621 1
Te4 Te 0.442 0.558 0.879 1
Te5 Te 0.558 0.442 0.121 1
Te6 Te 0.558 0.442 0.379 1
Te7 Te 0.833 0.167 0.068 1
Te8 Te 0.833 0.167 0.432 1
S1 S 0.231 0.769 0.250 1
S2 S 0.769 0.231 0.750 1
```

Simulated X-ray powder pattern of Er8S for Cu Kα (weighted mean of Kα1 and Kα2), from a PBE-relaxed structure.
Lines closer than 0.1° are merged.

Top 12 peaks for 5 to 70 degrees two-theta, sorted by position:
two_theta, I (rel.)
30.63, 77
31.44, 100
33.56, 55
34.86, 39
39.33, 25
42.20, 11
49.17, 16
49.30, 15
57.71, 29
59.17, 24
60.37, 19
61.79, 15

```
data_Er8S
_cell_length_a 8.916
_cell_length_b 8.916
_cell_length_c 3.697
_cell_angle_alpha 90.00
_cell_angle_beta 90.00
_cell_angle_gamma 120.00
_symmetry_space_group_name_H-M 'P 1'
_symmetry_Int_Tables_number 1
loop_
_symmetry_equiv_pos_as_xyz
'x,y,z'
loop_
_atom_site_label
_atom_site_type_symbol
_atom_site_fract_x
_atom_site_fract_y
_atom_site_fract_z
_atom_site_occupancy
Er1 Er 0.000 0.245 0.000 1
Er2 Er 0.000 0.602 0.500 1
Er3 Er 0.245 0.000 0.000 1
Er4 Er 0.333 0.667 0.000 1
Er5 Er 0.398 0.398 0.500 1
Er6 Er 0.602 0.000 0.500 1
Er7 Er 0.667 0.333 0.000 1
Er8 Er 0.755 0.755 0.000 1
S1 S 0.000 0.000 0.500 1
```

Simulated X-ray powder pattern of TbDyPbC for Cu Kα (weighted mean of Kα1 and Kα2), from a PBE-relaxed structure.
Lines closer than 0.1° are merged.

Top 12 peaks for 5 to 70 degrees two-theta, sorted by position:
two_theta, I (rel.)
28.26, 22
28.81, 1
32.86, 100
33.19, 21
44.14, 16
50.03, 21
58.46, 3
59.08, 19
61.16, 17
61.37, 22
68.90, 4
69.66, 3

```
data_TbDyPbC
_cell_length_a 3.646
_cell_length_b 3.646
_cell_length_c 16.197
_cell_angle_alpha 90.00
_cell_angle_beta 90.00
_cell_angle_gamma 120.00
_symmetry_space_group_name_H-M 'P 1'
_symmetry_Int_Tables_number 1
loop_
_symmetry_equiv_pos_as_xyz
'x,y,z'
loop_
_atom_site_label
_atom_site_type_symbol
_atom_site_fract_x
_atom_site_fract_y
_atom_site_fract_z
_atom_site_occupancy
Tb1 Tb 0.333 0.667 0.000 1
Tb2 Tb 0.667 0.333 0.500 1
Dy1 Dy 0.333 0.667 0.335 1
Dy2 Dy 0.667 0.333 0.835 1
Pb1 Pb 0.333 0.667 0.667 1
Pb2 Pb 0.667 0.333 0.167 1
C1 C 0.000 0.000 0.417 1
C2 C 0.000 0.000 0.917 1
```

Simulated X-ray powder pattern of Nd2Ho2CI2Cl3 for Cu Kα (weighted mean of Kα1 and Kα2), from a PBE-relaxed structure.
Lines closer than 0.1° are merged.

Top 12 peaks for 5 to 70 degrees two-theta, sorted by position:
two_theta, I (rel.)
10.95, 40
13.49, 35
21.18, 25
30.40, 37
30.59, 37
31.63, 100
32.58, 17
34.24, 33
36.55, 17
43.57, 21
45.30, 25
46.47, 18

```
data_Nd2Ho2CI2Cl3
_cell_length_a 9.173
_cell_length_b 9.173
_cell_length_c 8.211
_cell_angle_alpha 99.92
_cell_angle_beta 99.92
_cell_angle_gamma 24.60
_symmetry_space_group_name_H-M 'P 1'
_symmetry_Int_Tables_number 1
loop_
_symmetry_equiv_pos_as_xyz
'x,y,z'
loop_
_atom_site_label
_atom_site_type_symbol
_atom_site_fract_x
_atom_site_fract_y
_atom_site_fract_z
_atom_site_occupancy
Nd1 Nd 0.006 0.006 0.290 1
Nd2 Nd 0.994 0.994 0.710 1
Ho1 Ho 0.365 0.365 0.436 1
Ho2 Ho 0.635 0.635 0.564 1
C1 C 0.500 0.500 0.500 1
I1 I 0.170 0.170 0.848 1
I2 I 0.830 0.830 0.152 1
Cl1 Cl 0.174 0.174 0.360 1
Cl2 Cl 0.500 0.500 0.000 1
Cl3 Cl 0.826 0.826 0.640 1
```